No. 1
Starting from a structure optimized by DFT (PBE), the X-ray powder pattern of InSbP was simulated for Cu Ka.
Peak positions follow from Bragg's law for the DFT cell and can differ from measured ones.

Top 8 peaks for 2θ = 10–90°, sorted by position:
Position (°2θ)  I/Imax
17.53  100
26.39  45
27.37  42
30.39  87
33.52  63
33.86  73
35.43  94
35.83  66

Crystal structure
Cell lengths 3.2586, 6.6402, 7.9513 Å; angles 89.99, 87.34, 78.97 degrees
Positions (direct):
In 0.0000 0.0000 0.0000
In 0.4247 0.2809 0.2623
Sb 0.6208 0.5942 0.9666
Sb 0.7370 0.5405 0.6038
P 0.5433 0.9707 0.5238
P 0.9724 0.1095 0.6696

No. 2
Starting from a structure optimized by DFT (PBE), the X-ray powder pattern of InSiP2 was simulated for Cu Ka.
Peak positions follow from Bragg's law for the DFT cell and can differ from measured ones.

Top 8 peaks for 2θ = 10–90°, sorted by position:
Position (°2θ)  I/Imax
14.50  65
24.89  45
28.92  86
29.23  59
35.49  100
38.76  43
46.62  62
51.64  44

Crystal structure
Cell lengths 3.5767, 3.5767, 6.1108 Å; angles 90.00, 90.00, 90.00 degrees
Positions (direct):
In 0.0000 0.0000 0.0000
Si 0.5000 0.5000 0.4971
P 0.0000 0.0000 0.5733
P 0.5000 0.5000 0.1273

No. 3
Starting from a structure optimized by DFT (PBE), the X-ray powder pattern of Sr3In4P was simulated for Cu Ka.
Peak positions follow from Bragg's law for the DFT cell and can differ from measured ones.

Top 8 peaks for 2θ = 10–90°, sorted by position:
Position (°2θ)  I/Imax
10.74  20
29.39  100
29.58  49
31.03  20
33.42  32
36.49  47
36.97  44
58.72  23

Crystal structure
Cell lengths 6.4213, 6.4213, 16.4797 Å; angles 90.00, 90.00, 135.50 degrees
Positions (direct):
Sr 0.0813 0.9187 0.6248
Sr 0.0813 0.9187 0.8752
Sr 0.3715 0.6285 0.7500
Sr 0.6285 0.3715 0.2500
Sr 0.9187 0.0813 0.1248
Sr 0.9187 0.0813 0.3752
In 0.2062 0.7938 0.1175
In 0.2062 0.7938 0.3825
In 0.3719 0.6281 0.5271
In 0.3719 0.6281 0.9729
In 0.6281 0.3719 0.0271
In 0.6281 0.3719 0.4729
In 0.7938 0.2062 0.6175
In 0.7938 0.2062 0.8825
P 0.3630 0.6370 0.2500
P 0.6370 0.3630 0.7500

No. 4
Starting from a structure optimized by DFT (PBE), the X-ray powder pattern of InTc4P was simulated for Cu Ka.
Peak positions follow from Bragg's law for the DFT cell and can differ from measured ones.

Top 8 peaks for 2θ = 10–90°, sorted by position:
Position (°2θ)  I/Imax
20.92  25
34.50  18
40.69  100
42.59  51
66.01  31
72.74  27
86.86  11
88.12  18

Crystal structure
Cell lengths 5.1999, 5.1999, 5.1999 Å; angles 60.00, 60.00, 60.00 degrees
Positions (direct):
In 0.0000 0.0000 0.0000
Tc 0.3761 0.3761 0.3761
Tc 0.3761 0.3761 0.8716
Tc 0.3761 0.8716 0.3761
Tc 0.8716 0.3761 0.3761
P 0.7500 0.7500 0.7500

No. 5
Starting from a structure optimized by DFT (PBE), the X-ray powder pattern of InP3W was simulated for Cu Ka.
Peak positions follow from Bragg's law for the DFT cell and can differ from measured ones.

Top 8 peaks for 2θ = 10–90°, sorted by position:
Position (°2θ)  I/Imax
18.62  15
26.44  100
37.75  42
46.68  44
54.45  28
61.52  19
74.48  22
86.66  11

Crystal structure
Cell lengths 4.7665, 4.7665, 4.7665 Å; angles 90.00, 90.00, 90.00 degrees
Positions (direct):
In 0.0000 0.0000 0.0000
P 0.0000 0.5000 0.5000
P 0.5000 0.0000 0.5000
P 0.5000 0.5000 0.0000
W 0.5000 0.5000 0.5000

No. 6
Starting from a structure optimized by DFT (PBE), the X-ray powder pattern of In2PW was simulated for Cu Ka.
Peak positions follow from Bragg's law for the DFT cell and can differ from measured ones.

Top 8 peaks for 2θ = 10–90°, sorted by position:
Position (°2θ)  I/Imax
23.48  97
35.14  80
36.62  44
38.22  49
39.83  100
45.41  38
59.43  35
63.97  34

Crystal structure
Cell lengths 2.9908, 3.9218, 14.7217 Å; angles 90.00, 90.00, 90.00 degrees
Positions (direct):
In 0.0000 0.0000 0.1785
In 0.0000 0.0000 0.8215
In 0.5000 0.5000 0.3215
In 0.5000 0.5000 0.6785
P 0.0000 0.5000 0.0000
P 0.5000 0.0000 0.5000
W 0.0000 0.5000 0.5000
W 0.5000 0.0000 0.0000

No. 7
Starting from a structure optimized by DFT (PBE), the X-ray powder pattern of YInP4 was simulated for Cu Ka.
Peak positions follow from Bragg's law for the DFT cell and can differ from measured ones.

Top 8 peaks for 2θ = 10–90°, sorted by position:
Position (°2θ)  I/Imax
20.07  32
33.06  82
38.97  100
59.04  29
63.02  32
69.36  21
79.01  12
82.53  10

Crystal structure
Cell lengths 5.4198, 5.4198, 5.4198 Å; angles 60.00, 60.00, 60.00 degrees
Positions (direct):
Y 0.0000 0.0000 0.0000
In 0.7500 0.7500 0.7500
P 0.3845 0.3845 0.3845
P 0.3845 0.3845 0.8465
P 0.3845 0.8465 0.3845
P 0.8465 0.3845 0.3845

No. 8
Starting from a structure optimized by DFT (PBE), the X-ray powder pattern of ZnIn2P4 was simulated for Cu Ka.
Peak positions follow from Bragg's law for the DFT cell and can differ from measured ones.

Top 8 peaks for 2θ = 10–90°, sorted by position:
Position (°2θ)  I/Imax
24.62  59
25.60  61
26.15  100
29.93  53
41.67  35
42.91  41
44.14  27
50.26  27

Crystal structure
Cell lengths 7.3705, 4.1033, 10.8481 Å; angles 90.00, 90.49, 90.00 degrees
Positions (direct):
Zn 0.0000 0.0000 0.0000
Zn 0.5000 0.5000 0.0000
In 0.1261 0.5000 0.7041
In 0.3003 0.0000 0.3756
In 0.6261 0.0000 0.7041
In 0.8003 0.5000 0.3756
P 0.1255 0.5000 0.4651
P 0.1534 0.5000 0.0579
P 0.3381 0.5000 0.2044
P 0.4556 0.5000 0.7837
P 0.6255 0.0000 0.4651
P 0.6534 0.0000 0.0579
P 0.8381 0.0000 0.2044
P 0.9556 0.0000 0.7837

No. 9
Starting from a structure optimized by DFT (PBE), the X-ray powder pattern of ZnIn2P4 was simulated for Cu Ka.
Peak positions follow from Bragg's law for the DFT cell and can differ from measured ones.

Top 8 peaks for 2θ = 10–90°, sorted by position:
Position (°2θ)  I/Imax
24.55  47
25.45  100
26.88  98
30.79  32
42.66  79
42.83  41
49.82  29
53.53  52

Crystal structure
Cell lengths 4.2389, 4.2389, 23.2301 Å; angles 90.00, 90.00, 120.00 degrees
Positions (direct):
Zn 0.0000 0.0000 0.0000
Zn 0.0000 0.0000 0.5000
In 0.3333 0.6667 0.1352
In 0.3333 0.6667 0.7824
In 0.6667 0.3333 0.2824
In 0.6667 0.3333 0.6352
P 0.0000 0.0000 0.0973
P 0.0000 0.0000 0.4026
P 0.0000 0.0000 0.5973
P 0.0000 0.0000 0.9026
P 0.3333 0.6667 0.2454
P 0.3333 0.6667 0.8942
P 0.6667 0.3333 0.3942
P 0.6667 0.3333 0.7454

No. 10
Starting from a structure optimized by DFT (PBE), the X-ray powder pattern of ZrIn4P was simulated for Cu Ka.
Peak positions follow from Bragg's law for the DFT cell and can differ from measured ones.

Top 8 peaks for 2θ = 10–90°, sorted by position:
Position (°2θ)  I/Imax
18.65  38
30.68  11
36.15  100
37.81  62
43.95  16
58.16  32
63.90  30
76.70  22

Crystal structure
Cell lengths 5.8275, 5.8275, 5.8275 Å; angles 60.00, 60.00, 60.00 degrees
Positions (direct):
Zr 0.0000 0.0000 0.0000
In 0.1244 0.6252 0.6252
In 0.6252 0.1244 0.6252
In 0.6252 0.6252 0.1244
In 0.6252 0.6252 0.6252
P 0.2500 0.2500 0.2500

No. 11
Starting from a structure optimized by DFT (PBE), the X-ray powder pattern of Pa8In was simulated for Cu Ka.
Peak positions follow from Bragg's law for the DFT cell and can differ from measured ones.

Top 8 peaks for 2θ = 10–90°, sorted by position:
Position (°2θ)  I/Imax
33.49  100
38.48  35
39.63  16
55.55  12
56.43  23
66.44  29
68.02  13
70.38  12

Crystal structure
Cell lengths 7.3781, 7.3781, 7.3781 Å; angles 95.45, 95.45, 144.10 degrees
Positions (direct):
Pa 0.0000 0.3303 0.3303
Pa 0.0000 0.6697 0.6697
Pa 0.3303 0.0000 0.3303
Pa 0.3353 0.3353 0.6705
Pa 0.3353 0.6647 0.0000
Pa 0.6647 0.3353 0.0000
Pa 0.6647 0.6647 0.3295
Pa 0.6697 0.0000 0.6697
In 0.0000 0.0000 0.0000

No. 12
Starting from a structure optimized by DFT (PBE), the X-ray powder pattern of Pa8In was simulated for Cu Ka.
Peak positions follow from Bragg's law for the DFT cell and can differ from measured ones.

Top 8 peaks for 2θ = 10–90°, sorted by position:
Position (°2θ)  I/Imax
33.25  100
33.67  97
38.09  34
38.89  33
39.51  32
55.57  23
56.06  35
65.77  14

Crystal structure
Cell lengths 8.7631, 8.7631, 3.2216 Å; angles 100.09, 100.09, 107.96 degrees
Positions (direct):
Pa 0.1688 0.1688 0.6758
Pa 0.1700 0.8300 0.0000
Pa 0.1735 0.4965 0.3392
Pa 0.4965 0.1735 0.3392
Pa 0.5035 0.8265 0.6608
Pa 0.8265 0.5035 0.6608
Pa 0.8300 0.1700 0.0000
Pa 0.8312 0.8312 0.3242
In 0.5000 0.5000 0.0000

No. 13
Starting from a structure optimized by DFT (PBE), the X-ray powder pattern of PaIn was simulated for Cu Ka.
Peak positions follow from Bragg's law for the DFT cell and can differ from measured ones.

Top 8 peaks for 2θ = 10–90°, sorted by position:
Position (°2θ)  I/Imax
15.50  18
32.62  51
33.76  100
35.91  76
37.50  38
50.66  18
58.98  20
69.75  25

Crystal structure
Cell lengths 5.9056, 3.1300, 8.2175 Å; angles 90.00, 104.53, 90.00 degrees
Positions (direct):
Pa 0.0000 0.0000 0.0000
Pa 0.1582 0.0000 0.6557
Pa 0.8418 0.0000 0.3443
In 0.3257 0.5000 0.3334
In 0.5000 0.5000 0.0000
In 0.6743 0.5000 0.6666

No. 14
Starting from a structure optimized by DFT (PBE), the X-ray powder pattern of PaIn4 was simulated for Cu Ka.
Peak positions follow from Bragg's law for the DFT cell and can differ from measured ones.

Top 8 peaks for 2θ = 10–90°, sorted by position:
Position (°2θ)  I/Imax
33.32  96
33.91  100
35.39  40
37.27  39
43.94  23
52.34  26
58.95  18
66.70  27

Crystal structure
Cell lengths 8.8991, 8.8991, 8.8991 Å; angles 148.54, 136.35, 54.79 degrees
Positions (direct):
Pa 0.3493 0.0993 0.2500
Pa 0.6507 0.9007 0.7500
In 0.0000 0.5000 0.5000
In 0.1435 0.8935 0.2500
In 0.2021 0.6980 0.5041
In 0.3062 0.3020 0.0041
In 0.5000 0.5000 0.0000
In 0.6938 0.6980 0.9959
In 0.7979 0.3020 0.4959
In 0.8565 0.1065 0.7500